[1]
Starting from a GGA-PBE-relaxed structure, the X-ray powder pattern of La2YSiN was computed for Cu Ka.
Intensities are scaled so that the largest is 100.

Principal peaks in the range 10° ≤ 2θ ≤ 90°, in order of rising 2θ:
18.67 deg, d 4.752, I = 17; 31.49 deg, d 2.841, I = 100; 35.83 deg, d 2.506, I = 40; 37.87 deg, d 2.376, I = 17; 51.58 deg, d 1.772, I = 14; 53.12 deg, d 1.724, I = 26; 61.69 deg, d 1.504, I = 29; 86.94 deg, d 1.121, I = 18

Crystal structure
Unit cell a=5.0121 b=5.0121 c=4.7521 alpha=90.00 beta=90.00 gamma=90.00
Space group P4/mmm (No. 123)
Inequivalent atoms, fractional coordinates:
La 0.0000 0.5000 0.0000 (multiplicity 2)
Y 0.0000 0.0000 0.5000 (multiplicity 1)
Si 0.5000 0.5000 0.5000 (multiplicity 1)
N 0.0000 0.0000 0.0000 (multiplicity 1)

=====

[2]
Starting from a GGA-PBE-relaxed structure, the X-ray powder pattern of Mg2Ag5 was computed for Cu Ka.
Intensities are scaled so that the largest is 100.

Principal peaks in the range 10° ≤ 2θ ≤ 90°, in order of rising 2θ:
24.21 deg, d 3.676, I = 69; 34.17 deg, d 2.624, I = 38; 37.26 deg, d 2.413, I = 39; 37.82 deg, d 2.379, I = 100; 38.73 deg, d 2.325, I = 29; 40.20 deg, d 2.243, I = 98; 42.03 deg, d 2.150, I = 85; 62.28 deg, d 1.491, I = 30

Crystal structure
Unit cell a=7.0929 b=12.8316 c=5.7916 alpha=90.00 beta=90.00 gamma=90.00
Space group Ibam (No. 72)
Inequivalent atoms, fractional coordinates:
Mg 0.1980 0.1086 0.0000 (multiplicity 8)
Ag 0.0000 0.2721 0.2500 (multiplicity 8)
Ag 0.0000 0.5000 0.2500 (multiplicity 4)
Ag 0.2078 0.1157 0.5000 (multiplicity 8)